[1]
Diffraction record for Pm2Ir3Rh. The X-ray powder pattern is computed, not measured: it uses a PBE-relaxed structure and Cu Kα (λ = 1.5418 Å).
Kinematic intensities with the Lorentz-polarization factor, no thermal factor.

Largest 12 diffraction maxima, in order of rising 2θ, 5 to 70 degrees two-theta:
- 20.0°, 4.434 Å, intensity 16
- 33.0°, 2.714 Å, intensity 24
- 38.9°, 2.316 Å, intensity 27
- 39.0°, 2.308 Å, intensity 100
- 40.6°, 2.220 Å, intensity 14
- 40.8°, 2.209 Å, intensity 42
- 47.5°, 1.916 Å, intensity 9
- 59.1°, 1.563 Å, intensity 10
- 62.9°, 1.477 Å, intensity 12
- 63.1°, 1.474 Å, intensity 26
- 69.2°, 1.357 Å, intensity 18
- 69.5°, 1.352 Å, intensity 18

Structure:
abc: 5.428 5.428 5.428
angles: 59.76 59.76 59.76
Fractional positions:
Pm 0.124 0.124 0.124
Pm 0.876 0.876 0.876
Ir 0.000 0.500 0.500
Ir 0.500 0.000 0.500
Ir 0.500 0.500 0.000
Rh 0.500 0.500 0.500

---

[2]
Diffraction record for Pm3IrRh8. The X-ray powder pattern is computed, not measured: it uses a PBE-relaxed structure and Cu Kα (λ = 1.5418 Å).
Kinematic intensities with the Lorentz-polarization factor, no thermal factor.

Largest 12 diffraction maxima, in order of rising 2θ, 5 to 70 degrees two-theta:
- 30.7°, 2.914 Å, intensity 9
- 33.5°, 2.676 Å, intensity 24
- 33.6°, 2.668 Å, intensity 31
- 39.5°, 2.279 Å, intensity 100
- 39.6°, 2.275 Å, intensity 35
- 41.2°, 2.189 Å, intensity 14
- 41.4°, 2.179 Å, intensity 27
- 46.1°, 1.969 Å, intensity 8
- 60.0°, 1.541 Å, intensity 15
- 63.5°, 1.464 Å, intensity 7
- 63.9°, 1.456 Å, intensity 7
- 64.1°, 1.453 Å, intensity 29

Structure:
abc: 9.282 9.282 9.282
angles: 33.41 33.41 33.41
Fractional positions:
Pm 0.000 0.000 0.000
Pm 0.131 0.131 0.131
Pm 0.611 0.611 0.611
Ir 0.481 0.481 0.481
Rh 0.062 0.062 0.561
Rh 0.062 0.561 0.062
Rh 0.063 0.565 0.565
Rh 0.313 0.313 0.313
Rh 0.561 0.062 0.062
Rh 0.565 0.063 0.565
Rh 0.565 0.565 0.063
Rh 0.814 0.814 0.814

---

[3]
Diffraction record for Pm2Ir3Rh4. The X-ray powder pattern is computed, not measured: it uses a PBE-relaxed structure and Cu Kα (λ = 1.5418 Å).
Kinematic intensities with the Lorentz-polarization factor, no thermal factor.

Largest 12 diffraction maxima, in order of rising 2θ, 5 to 70 degrees two-theta:
- 13.2°, 6.689 Å, intensity 48
- 28.1°, 3.180 Å, intensity 23
- 38.5°, 2.336 Å, intensity 25
- 39.1°, 2.305 Å, intensity 26
- 39.3°, 2.291 Å, intensity 100
- 39.7°, 2.268 Å, intensity 24
- 40.5°, 2.230 Å, intensity 39
- 40.9°, 2.205 Å, intensity 20
- 42.1°, 2.148 Å, intensity 55
- 44.2°, 2.050 Å, intensity 24
- 65.1°, 1.432 Å, intensity 22
- 69.9°, 1.346 Å, intensity 26

Structure:
abc: 8.159 7.175 5.344
angles: 79.89 59.96 40.15
Fractional positions:
Pm 0.134 0.134 0.866
Pm 0.866 0.866 0.134
Ir 0.000 0.000 0.500
Ir 0.500 0.500 0.000
Ir 0.500 0.500 0.500
Rh 0.150 0.514 0.486
Rh 0.486 0.850 0.150
Rh 0.514 0.150 0.850
Rh 0.850 0.486 0.514

---

[4]
Diffraction record for Pm3IrRh2. The X-ray powder pattern is computed, not measured: it uses a PBE-relaxed structure and Cu Kα (λ = 1.5418 Å).
Kinematic intensities with the Lorentz-polarization factor, no thermal factor.

Largest 8 diffraction maxima, in order of rising 2θ, 5 to 70 degrees two-theta:
- 7.3°, 12.181 Å, intensity 1
- 21.9°, 4.065 Å, intensity 3
- 25.3°, 3.520 Å, intensity 1
- 36.1°, 2.489 Å, intensity 100
- 42.6°, 2.123 Å, intensity 1
- 52.0°, 1.760 Å, intensity 18
- 57.0°, 1.615 Å, intensity 1
- 64.9°, 1.437 Å, intensity 36

Structure:
abc: 4.980 4.980 12.181
angles: 90.00 90.00 120.00
Fractional positions:
Pm 0.000 0.000 0.249
Pm 0.000 0.000 0.751
Pm 0.333 0.667 0.415
Pm 0.333 0.667 0.917
Pm 0.667 0.333 0.083
Pm 0.667 0.333 0.585
Ir 0.333 0.667 0.166
Ir 0.667 0.333 0.834
Rh 0.000 0.000 0.000
Rh 0.000 0.000 0.500
Rh 0.333 0.667 0.664
Rh 0.667 0.333 0.336

---

[5]
Diffraction record for Pm6IrRh3. The X-ray powder pattern is computed, not measured: it uses a PBE-relaxed structure and Cu Kα (λ = 1.5418 Å).
Kinematic intensities with the Lorentz-polarization factor, no thermal factor.

Largest 12 diffraction maxima, in order of rising 2θ, 5 to 70 degrees two-theta:
- 26.8°, 3.328 Å, intensity 41
- 29.8°, 2.995 Å, intensity 90
- 30.4°, 2.936 Å, intensity 85
- 31.6°, 2.829 Å, intensity 37
- 32.2°, 2.784 Å, intensity 36
- 33.0°, 2.715 Å, intensity 100
- 35.1°, 2.554 Å, intensity 42
- 37.7°, 2.387 Å, intensity 39
- 40.5°, 2.225 Å, intensity 52
- 41.7°, 2.168 Å, intensity 44
- 44.1°, 2.054 Å, intensity 71
- 45.0°, 2.015 Å, intensity 36

Structure:
abc: 11.466 4.107 12.003
angles: 90.00 108.85 90.00
Fractional positions:
Pm 0.032 0.250 0.388
Pm 0.103 0.250 0.937
Pm 0.242 0.750 0.283
Pm 0.304 0.750 0.764
Pm 0.391 0.250 0.547
Pm 0.422 0.750 0.108
Pm 0.578 0.250 0.892
Pm 0.609 0.750 0.453
Pm 0.696 0.250 0.236
Pm 0.758 0.250 0.717
Pm 0.897 0.750 0.063
Pm 0.968 0.750 0.612
Ir 0.450 0.250 0.307
Ir 0.550 0.750 0.693
Rh 0.069 0.250 0.166
Rh 0.190 0.750 0.510
Rh 0.349 0.250 0.929
Rh 0.651 0.750 0.071
Rh 0.810 0.250 0.490
Rh 0.931 0.750 0.834

---

[6]
Diffraction record for Pm6Ir2Rh. The X-ray powder pattern is computed, not measured: it uses a PBE-relaxed structure and Cu Kα (λ = 1.5418 Å).
Kinematic intensities with the Lorentz-polarization factor, no thermal factor.

Largest 12 diffraction maxima, in order of rising 2θ, 5 to 70 degrees two-theta:
- 29.9°, 2.988 Å, intensity 100
- 32.9°, 2.720 Å, intensity 72
- 36.2°, 2.484 Å, intensity 25
- 37.1°, 2.424 Å, intensity 23
- 39.6°, 2.274 Å, intensity 12
- 40.8°, 2.211 Å, intensity 31
- 41.2°, 2.191 Å, intensity 44
- 52.8°, 1.735 Å, intensity 22
- 56.6°, 1.625 Å, intensity 17
- 62.5°, 1.487 Å, intensity 12
- 63.9°, 1.457 Å, intensity 11
- 64.8°, 1.440 Å, intensity 28

Structure:
abc: 7.589 7.589 4.848
angles: 90.00 90.00 120.00
Fractional positions:
Pm 0.073 0.373 0.247
Pm 0.300 0.927 0.247
Pm 0.373 0.300 0.753
Pm 0.627 0.700 0.247
Pm 0.700 0.073 0.753
Pm 0.927 0.627 0.753
Ir 0.333 0.667 0.805
Ir 0.667 0.333 0.195
Rh 0.000 0.000 0.000

---

[7]
Diffraction record for Pm5IrRh2. The X-ray powder pattern is computed, not measured: it uses a PBE-relaxed structure and Cu Kα (λ = 1.5418 Å).
Kinematic intensities with the Lorentz-polarization factor, no thermal factor.

Largest 12 diffraction maxima, in order of rising 2θ, 5 to 70 degrees two-theta:
- 30.1°, 2.966 Å, intensity 25
- 32.6°, 2.743 Å, intensity 100
- 33.8°, 2.651 Å, intensity 22
- 34.7°, 2.588 Å, intensity 57
- 37.7°, 2.385 Å, intensity 9
- 37.9°, 2.371 Å, intensity 58
- 41.5°, 2.177 Å, intensity 14
- 51.1°, 1.789 Å, intensity 10
- 54.0°, 1.699 Å, intensity 18
- 58.2°, 1.585 Å, intensity 17
- 65.3°, 1.428 Å, intensity 17
- 69.1°, 1.360 Å, intensity 22

Structure:
abc: 8.906 8.906 8.906
angles: 130.21 130.21 73.07
Fractional positions:
Pm 0.000 0.000 0.000
Pm 0.030 0.530 0.849
Pm 0.182 0.030 0.500
Pm 0.318 0.818 0.849
Pm 0.470 0.318 0.500
Pm 0.500 0.500 0.000
Pm 0.530 0.682 0.500
Pm 0.682 0.182 0.151
Pm 0.818 0.970 0.500
Pm 0.970 0.470 0.151
Ir 0.250 0.250 0.000
Ir 0.750 0.750 0.000
Rh 0.129 0.371 0.500
Rh 0.371 0.871 0.241
Rh 0.629 0.129 0.759
Rh 0.871 0.629 0.500

---

[8]
Diffraction record for PmZn3IrRh. The X-ray powder pattern is computed, not measured: it uses a PBE-relaxed structure and Cu Kα (λ = 1.5418 Å).
Kinematic intensities with the Lorentz-polarization factor, no thermal factor.

Largest 12 diffraction maxima, in order of rising 2θ, 5 to 70 degrees two-theta:
- 21.5°, 4.128 Å, intensity 22
- 25.4°, 3.506 Å, intensity 18
- 28.2°, 3.166 Å, intensity 43
- 30.3°, 2.949 Å, intensity 14
- 31.6°, 2.830 Å, intensity 25
- 32.8°, 2.729 Å, intensity 30
- 35.9°, 2.504 Å, intensity 23
- 41.9°, 2.155 Å, intensity 100
- 43.8°, 2.067 Å, intensity 69
- 48.2°, 1.887 Å, intensity 13
- 59.5°, 1.553 Å, intensity 28
- 64.9°, 1.437 Å, intensity 21

Structure:
abc: 7.065 7.065 5.455
angles: 90.00 90.00 126.75
Fractional positions:
Pm 0.225 0.775 0.750
Pm 0.775 0.225 0.250
Zn 0.199 0.199 0.000
Zn 0.199 0.199 0.500
Zn 0.355 0.645 0.250
Zn 0.645 0.355 0.750
Zn 0.801 0.801 0.000
Zn 0.801 0.801 0.500
Ir 0.147 0.853 0.250
Ir 0.853 0.147 0.750
Rh 0.434 0.566 0.750
Rh 0.566 0.434 0.250

---

- What is the formula in the first record?
  Pm2Ir3Rh